Record 1
Structure and simulated powder diffractogram of LiPr2Pa2O8 (a crystal structure in Alexandria, relaxed with GGA-PBE; Cu Kα (λ = 1.5418 Å)).
Neutral-atom scattering factors, no anomalous dispersion.

Largest 8 diffraction maxima, in order of rising 2θ, 10° ≤ 2θ ≤ 90°:
d/Å, Rel. int., h k l
5.102, 36, 1 1 -1
3.599, 100, 0 2 1
3.062, 44, 2 0 0
3.046, 43, 2 0 -2
2.865, 42, 2 2 -1
2.827, 25, 0 0 2
2.773, 26, 1 3 0
2.277, 26, 1 3 -2

Structural model:
a b c (Å): 7.2596 9.3327 6.7010
angles (deg): 90.00 122.47 90.00
Space group C2 (No. 5)
Symmetry-distinct sites (fractional):
Li1 0.0000 0.0000 0.0000 [2 per cell]
Pr1 0.0000 0.2808 0.0000 [2 per cell]
Pr2 0.0000 0.4542 0.5000 [2 per cell]
Pa1 0.0000 0.0218 0.5000 [2 per cell]
Pa2 0.0000 0.6865 0.0000 [2 per cell]
O1 0.0593 0.8946 0.2624 [4 per cell]
O2 0.1234 0.2233 0.7366 [4 per cell]
O3 0.1491 0.4864 0.2509 [4 per cell]
O4 0.2007 0.6250 0.8253 [4 per cell]

Record 2
Structure and simulated powder diffractogram of CaPm4SmS8 (a crystal structure in Alexandria, relaxed with GGA-PBE; Cu Kα (λ = 1.5418 Å)).
Neutral-atom scattering factors, no anomalous dispersion.

Largest 8 diffraction maxima, in order of rising 2θ, 10° ≤ 2θ ≤ 90°:
d/Å, Rel. int., h k l
6.764, 31, 1 0 1
3.532, 100, 0 1 5
3.382, 18, 2 0 2
2.929, 37, 0 2 4
2.255, 46, 1 2 5
2.071, 65, 2 0 8
1.525, 24, 1 0 13
1.196, 15, 6 0 0

Structural model:
a b c (Å): 8.2878 8.2878 20.2718
angles (deg): 90.00 90.00 120.00
Space group R3m (No. 160, hexagonal axes)
Symmetry-distinct sites (fractional):
Ca1 0.0000 0.0000 0.0000 [3 per cell]
Pm1 0.0000 0.0000 0.2499 [3 per cell]
Pm2 0.1691 0.3382 0.4577 [9 per cell]
Sm1 0.0000 0.0000 0.6270 [3 per cell]
S1 0.0000 0.0000 0.3831 [3 per cell]
S2 0.0000 0.0000 0.8662 [3 per cell]
S3 0.0242 0.5121 0.3776 [9 per cell]
S4 0.1781 0.3561 0.2061 [9 per cell]